Starting from a DFT-relaxed cell (PBE+U, Alexandria), the XRD peak list of Cs2RbV2F7 was simulated for Cu Kα (weighted mean of Kα1 and Kα2).
Lines closer than 0.1° are merged.

Crystal structure
Lattice parameters (Å, degrees): 4.315 4.315 23.518 90.00 90.00 90.00
Space group I4/mmm (No. 139)
Symmetry-distinct sites (fractional):
Cs: 0.000 0.000 0.185 [4 per cell]
Rb: 0.000 0.000 0.000 [2 per cell]
V: 0.000 0.000 0.409 [4 per cell]
F: 0.000 0.000 0.319 [4 per cell]
F: 0.000 0.000 0.500 [2 per cell]
F: 0.000 0.500 0.090 [8 per cell]

Largest 12 diffraction maxima, by angle, 2θ from 10° to 90°:
2theta  intensity  hkl
23.5  18.4  1 0 3
28.1  100.0  1 0 5
29.3  63.1  1 1 0
37.3  36.5  1 1 6
38.3  14.5  0 0 10
41.9  42.9  2 0 0
48.9  13.8  1 1 10
51.2  37.2  2 1 5
58.0  15.5  2 0 10
60.7  13.1  2 2 0
68.8  10.5  3 1 0
83.3  9.4  3 2 5